Computed XRD peak list
Compound: Pm2SbO
Radiation: Cu Ka
Structure: a crystal structure in OQMD, relaxed with PBE

Structural model:
```
Pm2SbO
1.0
4.1424 0.0000 0.0000
0.0000 4.1424 0.0000
0.0000 0.0000 5.8646
Pm Sb O
2 1 1
direct
0.0000 0.0000 0.0000 Pm
0.5000 0.5000 0.5000 Pm
0.0000 0.0000 0.5000 Sb
0.5000 0.5000 0.0000 O
```

The 10 most intense peaks (10° ≤ 2θ ≤ 90°), by intensity:
h k l  2θ/deg  intensity
1 1 0  30.5  100.0
2 0 0  43.7  74.0
3 1 0  72.1  32.7
2 0 2  54.2  25.9
1 0 1  26.3  24.9
3 1 2  80.2  24.4
2 1 1  51.7  12.5
2 2 0  63.5  11.9
0 0 1  15.1  10.2
1 0 0  21.5  9.2